Starting from DFT lattice parameters and positions (PBE+U), the XRD peak list of Mn5CrP6O24 was calculated for Cu Kα, 1.54184 Å.
Neutral-atom scattering factors, no anomalous dispersion.

Atomic structure:
abc: 8.5635 8.5635 21.1511
angles: 90.00 90.00 120.00
Space group R3 (No. 146, hexagonal axes)
Unique sites:
Mn1 0.0000 0.0000 0.0000 [3 per cell]
Mn2 0.0000 0.0000 0.1434 [3 per cell]
Mn3 0.0000 0.0000 0.4991 [3 per cell]
Mn4 0.0000 0.0000 0.6430 [3 per cell]
Mn5 0.0000 0.0000 0.8558 [3 per cell]
Cr1 0.0000 0.0000 0.3572 [3 per cell]
P1 0.0001 0.2904 0.2492 [9 per cell]
P2 0.0000 0.7110 0.7498 [9 per cell]
O1 0.0100 0.2016 0.1879 [9 per cell]
O2 0.0096 0.8099 0.6886 [9 per cell]
O3 0.0229 0.8362 0.4210 [9 per cell]
O4 0.0235 0.1833 0.9196 [9 per cell]
O5 0.1409 0.4670 0.9764 [9 per cell]
O6 0.1441 0.6726 0.4776 [9 per cell]
O7 0.1693 0.4833 0.2449 [9 per cell]
O8 0.1718 0.6910 0.7455 [9 per cell]

Main lines, in order of rising 2θ (10° ≤ 2θ ≤ 90°):
h k l  d [Å]  2θ (°)  I/Imax
1 1 0  4.282  20.7  80
2 -1 3  3.660  24.3  100
2 0 2  3.499  25.5  15
0 2 4  3.036  29.4  14
3 -1 1  2.779  32.2  18
2 -1 6  2.721  32.9  68
3 0 0  2.472  36.3  36
3 -2 8  1.923  47.3  31
4 -2 6  1.830  49.8  25
4 -1 8  1.623  56.7  14
1 4 0  1.618  56.9  25
4 1 6  1.471  63.2  18

---

Starting from DFT lattice parameters and positions (PBE+U), the XRD peak list of Sr2InWO6 was calculated for Cu Kα, 1.54184 Å.
Neutral-atom scattering factors, no anomalous dispersion.

Atomic structure:
abc: 8.258 8.258 8.258
angles: 90.00 90.00 90.00
Space group Fm-3m (No. 225)
Unique sites:
Sr1 0.250 0.250 0.250 [8 per cell]
In1 0.000 0.000 0.000 [4 per cell]
W1 0.000 0.000 0.500 [4 per cell]
O1 0.000 0.000 0.259 [24 per cell]

Main lines, in order of rising 2θ (10° ≤ 2θ ≤ 90°):
h k l  d [Å]  2θ (°)  I/Imax
1 1 1  4.768  18.6  5
2 0 0  4.129  21.5  15
2 2 0  2.920  30.6  100
3 1 1  2.490  36.1  3
4 0 0  2.065  43.9  31
4 2 0  1.847  49.4  6
4 2 2  1.686  54.4  40
4 4 0  1.460  63.7  19
6 0 0  1.376  68.1  3
6 2 0  1.306  72.4  18
4 4 4  1.192  80.6  6
6 4 2  1.104  88.6  22

---

Starting from DFT lattice parameters and positions (PBE+U), the XRD peak list of MgMn3SnO8 was calculated for Cu Kα, 1.54184 Å.
Neutral-atom scattering factors, no anomalous dispersion.

Atomic structure:
abc: 10.606 5.998 6.434
angles: 90.00 125.45 90.00
Space group C2/m (No. 12)
Unique sites:
Mg1 0.000 0.000 0.000 [2 per cell]
Mn1 0.000 0.500 0.500 [2 per cell]
Mn2 0.250 0.250 0.000 [4 per cell]
Sn1 0.000 0.500 0.000 [2 per cell]
O1 0.025 0.256 0.798 [8 per cell]
O2 0.245 0.500 0.194 [4 per cell]
O3 0.249 0.000 0.196 [4 per cell]

Main lines, in order of rising 2θ (10° ≤ 2θ ≤ 90°):
h k l  d [Å]  2θ (°)  I/Imax
0 0 1  5.241  16.9  100
1 1 0  4.927  18.0  65
1 1 -2  2.716  33.0  14
3 1 -2  2.670  33.6  13
4 0 -1  2.597  34.5  23
2 2 -1  2.582  34.7  18
2 2 0  2.463  36.5  16
2 2 -2  2.193  41.2  60
4 0 0  2.160  41.8  29
2 2 -3  1.718  53.3  12
2 2 2  1.556  59.4  16
6 2 -2  1.522  60.9  17

---

Starting from DFT lattice parameters and positions (PBE+U), the XRD peak list of Fe19Co5O32 was calculated for Cu Kα, 1.54184 Å.
Neutral-atom scattering factors, no anomalous dispersion.

Atomic structure:
abc: 12.060 12.042 10.391
angles: 90.00 124.82 90.00
Space group C2/m (No. 12)
Unique sites:
Fe1 0.000 0.000 0.000 [2 per cell]
Fe2 0.000 0.250 0.500 [4 per cell]
Fe3 0.055 0.500 0.366 [4 per cell]
Fe4 0.059 0.000 0.374 [4 per cell]
Fe5 0.066 0.251 0.879 [8 per cell]
Fe6 0.248 0.377 0.250 [8 per cell]
Fe7 0.250 0.124 0.252 [8 per cell]
Co1 0.000 0.500 0.000 [2 per cell]
Co2 0.250 0.000 0.999 [4 per cell]
Co3 0.250 0.250 0.500 [4 per cell]
O1 0.127 0.251 0.744 [8 per cell]
O2 0.128 0.000 0.234 [4 per cell]
O3 0.128 0.115 0.003 [8 per cell]
O4 0.130 0.134 0.518 [8 per cell]
O5 0.130 0.367 0.517 [8 per cell]
O6 0.131 0.249 0.243 [8 per cell]
O7 0.133 0.382 0.005 [8 per cell]
O8 0.135 0.500 0.243 [4 per cell]
O9 0.147 0.000 0.772 [4 per cell]
O10 0.149 0.500 0.772 [4 per cell]

Main lines, in order of rising 2θ (10° ≤ 2θ ≤ 90°):
h k l  d [Å]  2θ (°)  I/Imax
2 2 1  3.026  29.5  24
0 4 0  3.013  29.7  23
2 2 -3  3.002  29.8  21
4 2 -1  2.580  34.8  59
0 2 3  2.572  34.9  80
4 2 -3  2.563  35.0  100
4 4 -2  2.131  42.4  51
6 4 -2  1.642  56.0  36
4 6 -3  1.638  56.1  31
4 4 2  1.513  61.3  36
0 8 0  1.506  61.6  36
4 4 -6  1.501  61.8  35